1.
This entry pairs a crystal structure of Pm2Ga3Si4 with its calculated powder X-ray diffraction pattern. Radiation: λ = 1.5418 Å (Cu Kα). Structure: a crystal structure in Alexandria, relaxed with PBE.
Lines closer than 0.1° are merged.

The 10 most intense peaks (10 to 80 degrees two-theta), by angle:
2θ = 19.62°, d = 4.525 Å, rel. 34
2θ = 26.10°, d = 3.414 Å, rel. 54
2θ = 32.61°, d = 2.746 Å, rel. 64
2θ = 34.58°, d = 2.594 Å, rel. 58
2θ = 35.75°, d = 2.512 Å, rel. 73
2θ = 35.89°, d = 2.502 Å, rel. 100
2θ = 37.83°, d = 2.378 Å, rel. 80
2θ = 38.39°, d = 2.345 Å, rel. 35
2θ = 39.11°, d = 2.303 Å, rel. 35
2θ = 60.05°, d = 1.541 Å, rel. 47

Cell and atoms:
abc: 7.926 7.926 8.017
angles: 90.00 90.00 136.24
Element x y z (fractional)
Pm (0.116, 0.884, 0.918)
Pm (0.384, 0.616, 0.418)
Pm (0.616, 0.384, 0.582)
Pm (0.884, 0.116, 0.082)
Ga (0.000, 0.000, 0.500)
Ga (0.035, 0.465, 0.750)
Ga (0.465, 0.035, 0.250)
Ga (0.500, 0.500, 0.000)
Ga (0.535, 0.965, 0.750)
Ga (0.965, 0.535, 0.250)
Si (0.187, 0.813, 0.555)
Si (0.203, 0.297, 0.750)
Si (0.297, 0.203, 0.250)
Si (0.313, 0.687, 0.055)
Si (0.687, 0.313, 0.945)
Si (0.703, 0.797, 0.750)
Si (0.797, 0.703, 0.250)
Si (0.813, 0.187, 0.445)

2.
This entry pairs a crystal structure of PmGaSi with its calculated powder X-ray diffraction pattern. Radiation: λ = 1.5418 Å (Cu Kα). Structure: a crystal structure in Alexandria, relaxed with PBE.
Lines closer than 0.1° are merged.

The 10 most intense peaks (10 to 80 degrees two-theta), by angle:
2θ = 24.61°, d = 3.617 Å, rel. 24
2θ = 32.81°, d = 2.730 Å, rel. 100
2θ = 32.92°, d = 2.721 Å, rel. 50
2θ = 43.24°, d = 2.092 Å, rel. 18
2θ = 43.50°, d = 2.080 Å, rel. 54
2θ = 55.39°, d = 1.659 Å, rel. 22
2θ = 63.01°, d = 1.475 Å, rel. 12
2θ = 63.21°, d = 1.471 Å, rel. 23
2θ = 73.04°, d = 1.295 Å, rel. 19
2θ = 73.17°, d = 1.293 Å, rel. 15

Cell and atoms:
abc: 4.185 7.194 8.321
angles: 90.00 90.00 90.00
Element x y z (fractional)
Pm (0.000, 0.000, 0.000)
Pm (0.000, 0.000, 0.500)
Pm (0.500, 0.500, 0.000)
Pm (0.500, 0.500, 0.500)
Ga (0.000, 0.333, 0.250)
Ga (0.000, 0.667, 0.750)
Ga (0.500, 0.167, 0.750)
Ga (0.500, 0.833, 0.250)
Si (0.000, 0.332, 0.750)
Si (0.000, 0.668, 0.250)
Si (0.500, 0.168, 0.250)
Si (0.500, 0.832, 0.750)

3.
This entry pairs a crystal structure of Pm2Sm2Ga4Si with its calculated powder X-ray diffraction pattern. Radiation: λ = 1.5418 Å (Cu Kα). Structure: a crystal structure in Alexandria, relaxed with PBE.
Lines closer than 0.1° are merged.

The 10 most intense peaks (10 to 80 degrees two-theta), by angle:
2θ = 25.20°, d = 3.534 Å, rel. 17
2θ = 32.40°, d = 2.763 Å, rel. 100
2θ = 32.86°, d = 2.726 Å, rel. 14
2θ = 35.94°, d = 2.499 Å, rel. 52
2θ = 40.72°, d = 2.216 Å, rel. 9
2θ = 41.86°, d = 2.158 Å, rel. 13
2θ = 51.74°, d = 1.767 Å, rel. 18
2θ = 55.42°, d = 1.658 Å, rel. 15
2θ = 62.38°, d = 1.489 Å, rel. 30
2θ = 77.45°, d = 1.232 Å, rel. 8

Cell and atoms:
abc: 6.679 6.679 6.679
angles: 116.11 116.11 96.87
Element x y z (fractional)
Pm (0.250, 0.750, 0.500)
Pm (0.750, 0.250, 0.500)
Sm (0.193, 0.193, 0.000)
Sm (0.807, 0.807, 0.000)
Ga (0.256, 0.256, 0.512)
Ga (0.256, 0.744, 0.000)
Ga (0.744, 0.256, 0.000)
Ga (0.744, 0.744, 0.488)
Si (0.500, 0.500, 0.000)

> Which formula does entry 2 have?

PmGaSi